# 1
For LiMn3NiO8, a cell relaxed with GGA+U gives the theoretical powder X-ray diffraction pattern in this record (a wavelength of 1.5418 Å).
Lines closer than 0.1° are merged.

Cell and atoms:
```
data_LiMn3NiO8
_space_group_name_H-M_alt 'C 1 2/m 1'
_space_group_IT_number 12
_space_group_name_Hall '-C 2y'
_cell_length_a 9.972
_cell_length_b 5.817
_cell_length_c 5.970
_cell_angle_alpha 90.00
_cell_angle_beta 122.43
_cell_angle_gamma 90.00
loop_
_atom_site_label
_atom_site_fract_x
_atom_site_fract_y
_atom_site_fract_z
Li1 0.000 0.000 0.000
Mn1 0.000 0.500 0.500
Mn2 0.250 0.250 0.500
Ni1 0.000 0.000 0.500
O1 0.024 0.262 0.296
O2 0.224 0.000 0.687
O3 0.233 0.500 0.698
```

Main lines, most intense first (2θ = 5–70°):
2θ/deg	I/Imax	h k l
17.60	100.0	0 0 1
43.50	30.1	2 2 -2
36.34	28.2	2 2 -1
42.99	14.7	4 0 0
56.54	9.2	2 2 -3
64.60	7.8	6 2 -2
61.00	7.4	2 2 2
55.64	5.5	4 0 1
37.59	4.8	2 2 0
46.73	4.8	2 2 1
67.11	4.6	6 2 -1
64.02	4.1	0 4 0

=====

# 2
For UCdMo4O16, a cell relaxed with GGA+U gives the theoretical powder X-ray diffraction pattern in this record (a wavelength of 1.5418 Å).
Lines closer than 0.1° are merged.

Cell and atoms:
```
data_UCdMo4O16
_space_group_name_H-M_alt 'P 1 2/c 1'
_space_group_IT_number 13
_space_group_name_Hall '-P 2yc'
_cell_length_a 8.261
_cell_length_b 6.720
_cell_length_c 14.224
_cell_angle_alpha 90.00
_cell_angle_beta 125.04
_cell_angle_gamma 90.00
loop_
_atom_site_label
_atom_site_fract_x
_atom_site_fract_y
_atom_site_fract_z
U1 0.000 0.202 0.250
Cd1 0.500 0.199 0.250
Mo1 0.198 0.330 0.907
Mo2 0.304 0.328 0.597
O1 0.000 0.442 0.750
O2 0.091 0.348 0.596
O3 0.124 0.074 0.871
O4 0.185 0.348 0.432
O5 0.220 0.201 0.247
O6 0.311 0.351 0.063
O7 0.363 0.076 0.626
O8 0.405 0.343 0.903
O9 0.500 0.434 0.750
```

Main lines, most intense first (2θ = 5–70°):
2θ/deg	I/Imax	h k l
26.52	100.0	0 1 3
21.52	68.7	2 0 -2
46.80	21.4	0 0 6
34.28	20.5	2 1 1
27.63	20.4	0 2 1
15.22	15.9	0 0 2
34.52	14.7	2 1 -5
51.83	13.7	2 0 4
26.41	11.7	2 1 -1
13.14	11.2	0 1 0
43.84	11.2	4 0 -4
35.33	11.2	2 2 -3

=====

# 3
For BaLa4Mn5O15, a cell relaxed with GGA+U gives the theoretical powder X-ray diffraction pattern in this record (a wavelength of 1.5418 Å).
Lines closer than 0.1° are merged.

Cell and atoms:
```
data_BaLa4Mn5O15
_space_group_name_H-M_alt 'P -1'
_space_group_IT_number 2
_space_group_name_Hall '-P 1'
_cell_length_a 5.593
_cell_length_b 6.854
_cell_length_c 8.833
_cell_angle_alpha 74.94
_cell_angle_beta 71.60
_cell_angle_gamma 89.81
loop_
_atom_site_label
_atom_site_fract_x
_atom_site_fract_y
_atom_site_fract_z
Ba1 0.000 0.000 0.000
La1 0.203 0.798 0.594
La2 0.401 0.585 0.199
Mn1 0.000 0.500 0.000
Mn2 0.201 0.299 0.598
Mn3 0.400 0.099 0.201
O1 0.000 0.500 0.500
O2 0.095 0.903 0.319
O3 0.105 0.408 0.791
O4 0.207 0.312 0.102
O5 0.304 0.219 0.392
O6 0.309 0.688 0.898
O7 0.415 0.097 0.681
O8 0.500 0.000 0.000
O9 0.500 0.500 0.500
```

Main lines, most intense first (2θ = 5–70°):
2θ/deg	I/Imax	h k l
32.00	100.0	2 0 1
57.10	26.7	0 0 5
45.95	26.0	2 -2 2
39.47	23.7	2 1 3
32.06	20.0	1 0 3
56.99	19.0	3 0 -1
22.49	17.3	1 1 0
66.93	15.2	4 0 2
45.80	13.3	2 2 0
51.75	5.1	2 -1 4
67.05	3.8	2 0 6
66.81	3.7	2 4 4

=====

# 4
For V16O3, a cell relaxed with GGA+U gives the theoretical powder X-ray diffraction pattern in this record (a wavelength of 1.5418 Å).
Lines closer than 0.1° are merged.

Cell and atoms:
```
data_V16O3
_space_group_name_H-M_alt 'I 4/m m m'
_space_group_IT_number 139
_space_group_name_Hall '-I 4 2'
_cell_length_a 12.290
_cell_length_b 12.290
_cell_length_c 8.492
_cell_angle_alpha 90.00
_cell_angle_beta 90.00
_cell_angle_gamma 90.00
loop_
_atom_site_label
_atom_site_fract_x
_atom_site_fract_y
_atom_site_fract_z
V1 0.000 0.000 0.000
V2 0.000 0.000 0.500
V3 0.000 0.249 0.000
V4 0.000 0.253 0.500
V5 0.000 0.500 0.000
V6 0.124 0.124 0.242
V7 0.125 0.375 0.250
V8 0.249 0.249 0.000
O1 0.000 0.500 0.250
O2 0.125 0.125 0.500
```

Main lines, most intense first (2θ = 5–70°):
2θ/deg	I/Imax	h k l
36.08	100.0	4 0 2
41.57	41.7	4 4 0
61.02	23.3	4 4 4
42.58	19.2	0 0 4
60.24	12.3	8 0 0
12.67	0.7	1 0 1
22.88	0.6	3 1 0
23.32	0.6	1 1 2